This entry pairs a crystal structure of LaPmHgO with its calculated powder diffractogram. Radiation: λ = 1.5418 Å (Cu Kα). Structure: a GGA-PBE-relaxed structure.

Top 8 peaks for 2θ from 5° to 70°, most intense first:
- (0 1 3), 2θ 30.26, 2.954 Å, rel. 100
- (1 0 3), 2θ 30.42, 2.939 Å, rel. 98
- (1 1 0), 2θ 32.94, 2.719 Å, rel. 77
- (1 1 6), 2θ 52.19, 1.753 Å, rel. 42
- (1 2 3), 2θ 57.07, 1.614 Å, rel. 33
- (2 1 3), 2θ 57.36, 1.606 Å, rel. 33
- (0 0 6), 2θ 39.30, 2.293 Å, rel. 20
- (0 2 0), 2θ 47.06, 1.931 Å, rel. 16

Structural model:
abc: 3.8281 3.8623 13.7552
angles: 90.00 90.00 90.00
Atoms (fractional coordinates):
La: 0.0000 0.0000 0.0000
La: 0.5000 0.5000 0.5000
Pm: 0.0000 0.0000 0.3058
Pm: 0.5000 0.5000 0.8058
Hg: 0.0000 0.0000 0.6574
Hg: 0.5000 0.5000 0.1574
O: 0.0000 0.5000 0.9018
O: 0.5000 0.0000 0.4018